No. 1
This entry pairs a crystal structure of Ho2AlZn3Ni2 with its calculated powder diffractogram. Radiation: Cu Kα, 1.54184 Å. Structure: a GGA-PBE-relaxed structure.
Kinematic intensities with the Lorentz-polarization factor, no thermal factor.

Crystal structure
Cell lengths 9.4091, 4.0378, 7.1581 Å; angles 90.00, 90.02, 90.00 degrees
Positions (direct):
Ho 0.0000 0.0000 0.0000
Ho 0.1288 0.0000 0.4910
Ho 0.5000 0.5000 0.0000
Ho 0.6288 0.5000 0.4910
Al 0.4121 0.0000 0.6913
Al 0.9121 0.5000 0.6913
Zn 0.2088 0.5000 0.8036
Zn 0.2136 0.5000 0.1927
Zn 0.4170 0.0000 0.3023
Zn 0.7088 0.0000 0.8036
Zn 0.7136 0.0000 0.1927
Zn 0.9170 0.5000 0.3023
Ni 0.2878 0.0000 0.9950
Ni 0.3474 0.5000 0.5042
Ni 0.7878 0.5000 0.9950
Ni 0.8474 0.0000 0.5042

Most intense lines, 10 to 90 degrees two-theta, by angle:
- 2θ 23.98, I 22.1
- 2θ 24.88, I 22.9
- 2θ 34.83, I 100.0
- 2θ 36.27, I 17.3
- 2θ 38.46, I 80.0
- 2θ 40.36, I 36.8
- 2θ 42.48, I 23.0
- 2θ 44.90, I 31.1
- 2θ 53.31, I 18.0
- 2θ 61.94, I 20.4
- 2θ 63.52, I 13.7
- 2θ 67.50, I 13.6



No. 2
This entry pairs a crystal structure of HoAlZnNi with its calculated powder diffractogram. Radiation: Cu Kα, 1.54184 Å. Structure: a GGA-PBE-relaxed structure.
Kinematic intensities with the Lorentz-polarization factor, no thermal factor.

Crystal structure
Cell lengths 4.0795, 9.5683, 7.0597 Å; angles 90.00, 90.00, 90.00 degrees
Positions (direct):
Ho 0.0000 0.0632 0.0000
Ho 0.0000 0.9368 0.5000
Ho 0.5000 0.4368 0.5000
Ho 0.5000 0.5632 0.0000
Al 0.0000 0.3450 0.1987
Al 0.0000 0.6550 0.6987
Al 0.5000 0.1550 0.6987
Al 0.5000 0.8450 0.1987
Zn 0.0000 0.3553 0.8105
Zn 0.0000 0.6447 0.3105
Zn 0.5000 0.1447 0.3105
Zn 0.5000 0.8553 0.8105
Ni 0.0000 0.2200 0.5093
Ni 0.0000 0.7800 0.0093
Ni 0.5000 0.2800 0.0093
Ni 0.5000 0.7200 0.5093

Most intense lines, 10 to 90 degrees two-theta, by angle:
- 2θ 23.71, I 32.6
- 2θ 25.23, I 32.6
- 2θ 34.90, I 100.0
- 2θ 38.01, I 88.5
- 2θ 39.79, I 41.4
- 2θ 42.83, I 20.6
- 2θ 44.41, I 31.3
- 2θ 51.78, I 20.4
- 2θ 53.34, I 21.1
- 2θ 61.14, I 23.0
- 2θ 73.01, I 19.4
- 2θ 77.53, I 23.2



No. 3
This entry pairs a crystal structure of HoAlZnNi with its calculated powder diffractogram. Radiation: Cu Kα, 1.54184 Å. Structure: a GGA-PBE-relaxed structure.
Kinematic intensities with the Lorentz-polarization factor, no thermal factor.

Crystal structure
Cell lengths 9.5842, 4.0692, 7.0551 Å; angles 90.00, 90.18, 90.00 degrees
Positions (direct):
Ho 0.0638 0.0000 0.2424
Ho 0.4362 0.5000 0.7576
Ho 0.5638 0.5000 0.2424
Ho 0.9362 0.0000 0.7576
Al 0.1507 0.5000 0.5571
Al 0.3493 0.0000 0.4429
Al 0.6507 0.0000 0.5571
Al 0.8493 0.5000 0.4429
Zn 0.1506 0.5000 0.9456
Zn 0.3494 0.0000 0.0544
Zn 0.6506 0.0000 0.9456
Zn 0.8494 0.5000 0.0544
Ni 0.2192 0.0000 0.7408
Ni 0.2808 0.5000 0.2592
Ni 0.7192 0.5000 0.7408
Ni 0.7808 0.0000 0.2592

Most intense lines, 10 to 90 degrees two-theta, by angle:
- 2θ 12.55, I 12.8
- 2θ 23.75, I 33.1
- 2θ 25.25, I 30.0
- 2θ 34.95, I 100.0
- 2θ 35.73, I 14.7
- 2θ 38.00, I 88.7
- 2θ 39.74, I 42.8
- 2θ 42.78, I 13.8
- 2θ 44.53, I 30.8
- 2θ 51.85, I 19.2
- 2θ 61.20, I 23.6
- 2θ 77.67, I 15.3



No. 4
This entry pairs a crystal structure of Ho10Al3Pd with its calculated powder diffractogram. Radiation: Cu Kα, 1.54184 Å. Structure: a GGA-PBE-relaxed structure.
Kinematic intensities with the Lorentz-polarization factor, no thermal factor.

Crystal structure
Cell lengths 9.5276, 9.5276, 9.5617 Å; angles 90.00, 90.00, 120.00 degrees
Positions (direct):
Ho 0.0000 0.0000 0.0000
Ho 0.0000 0.0000 0.5000
Ho 0.0860 0.5430 0.2500
Ho 0.2050 0.4100 0.5562
Ho 0.2050 0.4100 0.9438
Ho 0.2050 0.7950 0.5562
Ho 0.2050 0.7950 0.9438
Ho 0.4100 0.2050 0.0562
Ho 0.4100 0.2050 0.4438
Ho 0.4570 0.5430 0.2500
Ho 0.4570 0.9140 0.2500
Ho 0.5430 0.0860 0.7500
Ho 0.5430 0.4570 0.7500
Ho 0.5900 0.7950 0.5562
Ho 0.5900 0.7950 0.9438
Ho 0.7950 0.2050 0.0562
Ho 0.7950 0.2050 0.4438
Ho 0.7950 0.5900 0.0562
Ho 0.7950 0.5900 0.4438
Ho 0.9140 0.4570 0.7500
Al 0.1118 0.2236 0.2500
Al 0.1118 0.8882 0.2500
Al 0.2236 0.1118 0.7500
Al 0.7764 0.8882 0.2500
Al 0.8882 0.1118 0.7500
Al 0.8882 0.7764 0.7500
Pd 0.3333 0.6667 0.7500
Pd 0.6667 0.3333 0.2500

Most intense lines, 10 to 90 degrees two-theta, by angle:
- 2θ 21.48, I 20.0
- 2θ 28.60, I 59.4
- 2θ 30.09, I 47.9
- 2θ 33.91, I 45.0
- 2θ 34.33, I 100.0
- 2θ 35.59, I 33.9
- 2θ 37.77, I 21.5
- 2θ 40.47, I 12.5
- 2θ 56.55, I 32.5
- 2θ 58.09, I 19.1
- 2θ 58.82, I 26.6
- 2θ 59.23, I 24.9



No. 5
This entry pairs a crystal structure of HoAlPdPt with its calculated powder diffractogram. Radiation: Cu Kα, 1.54184 Å. Structure: a GGA-PBE-relaxed structure.
Kinematic intensities with the Lorentz-polarization factor, no thermal factor.

Crystal structure
Cell lengths 4.3466, 4.3466, 9.1582 Å; angles 90.00, 90.00, 120.00 degrees
Positions (direct):
Ho 0.0000 0.0000 0.0000
Ho 0.3333 0.6667 0.5000
Al 0.6667 0.3333 0.2559
Al 0.6667 0.3333 0.7441
Pd 0.3333 0.6667 0.1646
Pd 0.3333 0.6667 0.8354
Pt 0.0000 0.0000 0.3267
Pt 0.0000 0.0000 0.6733

Most intense lines, 10 to 90 degrees two-theta, by angle:
- 2θ 23.64, I 48.9
- 2θ 37.95, I 100.0
- 2θ 41.55, I 57.8
- 2θ 48.36, I 7.4
- 2θ 57.53, I 30.0
- 2θ 60.67, I 4.9
- 2θ 65.62, I 6.0
- 2θ 66.05, I 8.5
- 2θ 73.43, I 29.1
- 2θ 75.82, I 9.9
- 2θ 76.22, I 15.1
- 2θ 81.13, I 4.8



No. 6
This entry pairs a crystal structure of HoAl4ZnPd2 with its calculated powder diffractogram. Radiation: Cu Kα, 1.54184 Å. Structure: a GGA-PBE-relaxed structure.
Kinematic intensities with the Lorentz-polarization factor, no thermal factor.

Crystal structure
Cell lengths 7.0644, 4.1895, 9.6234 Å; angles 90.00, 90.00, 90.00 degrees
Positions (direct):
Ho 0.0000 0.0000 0.0000
Ho 0.0000 0.5000 0.5000
Al 0.2107 0.0000 0.7078
Al 0.2107 0.5000 0.2078
Al 0.3074 0.0000 0.4220
Al 0.3074 0.5000 0.9220
Al 0.6926 0.0000 0.4220
Al 0.6926 0.5000 0.9220
Al 0.7893 0.0000 0.7078
Al 0.7893 0.5000 0.2078
Zn 0.5000 0.0000 0.1416
Zn 0.5000 0.5000 0.6416
Pd 0.0000 0.0000 0.2843
Pd 0.0000 0.5000 0.7843
Pd 0.5000 0.0000 0.8660
Pd 0.5000 0.5000 0.3660

Most intense lines, 10 to 90 degrees two-theta, by angle:
- 2θ 12.53, I 15.6
- 2θ 23.16, I 44.3
- 2θ 25.21, I 58.9
- 2θ 26.41, I 21.3
- 2θ 34.50, I 83.7
- 2θ 37.54, I 100.0
- 2θ 39.57, I 50.1
- 2θ 43.19, I 33.2
- 2θ 43.82, I 15.5
- 2θ 50.67, I 17.6
- 2θ 52.96, I 28.7
- 2θ 60.00, I 29.0



No. 7
This entry pairs a crystal structure of HoAlPt with its calculated powder diffractogram. Radiation: Cu Kα, 1.54184 Å. Structure: a GGA-PBE-relaxed structure.
Kinematic intensities with the Lorentz-polarization factor, no thermal factor.

Crystal structure
Cell lengths 6.8689, 4.4199, 7.7361 Å; angles 90.00, 90.00, 90.00 degrees
Positions (direct):
Ho 0.0274 0.2500 0.1824
Ho 0.4726 0.7500 0.6824
Ho 0.5274 0.2500 0.3176
Ho 0.9726 0.7500 0.8176
Al 0.1470 0.2500 0.5652
Al 0.3530 0.7500 0.0652
Al 0.6470 0.2500 0.9348
Al 0.8530 0.7500 0.4348
Pt 0.2283 0.7500 0.3857
Pt 0.2717 0.2500 0.8857
Pt 0.7283 0.7500 0.1143
Pt 0.7717 0.2500 0.6143

Most intense lines, 10 to 90 degrees two-theta, by angle:
- 2θ 26.44, I 33.7
- 2θ 26.61, I 52.4
- 2θ 33.43, I 40.8
- 2θ 35.06, I 100.0
- 2θ 40.50, I 26.2
- 2θ 40.83, I 34.4
- 2θ 42.67, I 16.0
- 2θ 46.07, I 19.7
- 2θ 49.31, I 12.8
- 2θ 53.38, I 15.9
- 2θ 63.23, I 15.5
- 2θ 70.62, I 13.3



No. 8
This entry pairs a crystal structure of Ho2Al15Pt6 with its calculated powder diffractogram. Radiation: Cu Kα, 1.54184 Å. Structure: a GGA-PBE-relaxed structure.
Kinematic intensities with the Lorentz-polarization factor, no thermal factor.

Crystal structure
Cell lengths 7.4448, 7.4448, 16.5175 Å; angles 90.00, 90.00, 60.01 degrees
Positions (direct):
Ho 0.9996 0.3342 0.2500
Ho 0.0004 0.6658 0.7500
Ho 0.3342 0.9996 0.7500
Ho 0.6658 0.0004 0.2500
Al 0.9998 0.3342 0.0460
Al 0.9998 0.3342 0.4540
Al 0.0002 0.6658 0.5460
Al 0.0002 0.6658 0.9540
Al 0.0052 0.9948 0.1365
Al 0.0052 0.9948 0.3635
Al 0.1282 0.6676 0.2500
Al 0.3320 0.6680 0.0472
Al 0.3320 0.6680 0.4528
Al 0.3324 0.8718 0.2500
Al 0.3327 0.3412 0.1362
Al 0.3327 0.3412 0.3638
Al 0.3342 0.9998 0.5460
Al 0.3342 0.9998 0.9540
Al 0.3412 0.3327 0.6362
Al 0.3412 0.3327 0.8638
Al 0.4620 0.5380 0.7500
Al 0.5380 0.4620 0.2500
Al 0.6588 0.6673 0.1362
Al 0.6588 0.6673 0.3638
Al 0.6658 0.0002 0.0460
Al 0.6658 0.0002 0.4540
Al 0.6673 0.6588 0.6362
Al 0.6673 0.6588 0.8638
Al 0.6676 0.1282 0.7500
Al 0.6680 0.3320 0.5472
Al 0.6680 0.3320 0.9528
Al 0.8718 0.3324 0.7500
Al 0.9948 0.0052 0.6365
Al 0.9948 0.0052 0.8635
Pt 0.0098 0.3324 0.6090
Pt 0.0098 0.3324 0.8910
Pt 0.3255 0.6745 0.6080
Pt 0.3255 0.6745 0.8920
Pt 0.3324 0.0098 0.1090
Pt 0.3324 0.0098 0.3910
Pt 0.6676 0.9902 0.6090
Pt 0.6676 0.9902 0.8910
Pt 0.6745 0.3255 0.1080
Pt 0.6745 0.3255 0.3920
Pt 0.9902 0.6676 0.1090
Pt 0.9902 0.6676 0.3910

Most intense lines, 10 to 90 degrees two-theta, by angle:
- 2θ 21.52, I 17.8
- 2θ 23.90, I 35.4
- 2θ 24.51, I 15.4
- 2θ 28.95, I 100.0
- 2θ 36.36, I 23.0
- 2θ 40.76, I 14.3
- 2θ 42.04, I 54.9
- 2θ 45.51, I 20.6
- 2θ 47.70, I 16.8
- 2θ 51.85, I 21.1
- 2θ 67.23, I 13.7
- 2θ 68.88, I 19.3



No. 9
This entry pairs a crystal structure of Y2HoAl3Si2Pt with its calculated powder diffractogram. Radiation: Cu Kα, 1.54184 Å. Structure: a GGA-PBE-relaxed structure.
Kinematic intensities with the Lorentz-polarization factor, no thermal factor.

Crystal structure
Cell lengths 4.2158, 6.9137, 6.9137 Å; angles 120.02, 90.00, 90.00 degrees
Positions (direct):
Y 0.0000 0.2090 0.7910
Y 0.0000 0.7910 0.2090
Ho 0.0000 0.3740 0.3740
Al 0.5000 0.0282 0.0282
Al 0.5000 0.5538 0.7905
Al 0.5000 0.7905 0.5538
Si 0.5000 0.1251 0.4572
Si 0.5000 0.4572 0.1251
Pt 0.0000 0.7892 0.7892

Most intense lines, 10 to 90 degrees two-theta, by angle:
- 2θ 14.80, I 32.0
- 2θ 21.07, I 45.7
- 2θ 25.81, I 36.5
- 2θ 29.85, I 52.0
- 2θ 33.53, I 39.8
- 2θ 36.82, I 100.0
- 2θ 39.84, I 20.2
- 2θ 42.90, I 21.2
- 2θ 45.48, I 44.8
- 2θ 53.14, I 21.0
- 2θ 59.87, I 17.0
- 2θ 72.35, I 24.5



No. 10
This entry pairs a crystal structure of HoAl8Re4 with its calculated powder diffractogram. Radiation: Cu Kα, 1.54184 Å. Structure: a GGA-PBE-relaxed structure.
Kinematic intensities with the Lorentz-polarization factor, no thermal factor.

Crystal structure
Cell lengths 6.9029, 6.9029, 6.9029 Å; angles 98.15, 98.15, 135.76 degrees
Positions (direct):
Ho 0.0000 0.0000 0.0000
Al 0.0000 0.3453 0.3453
Al 0.0000 0.6547 0.6547
Al 0.2867 0.5000 0.7867
Al 0.3453 0.0000 0.3453
Al 0.5000 0.2867 0.7867
Al 0.5000 0.7133 0.2133
Al 0.6547 0.0000 0.6547
Al 0.7133 0.5000 0.2133
Re 0.0000 0.0000 0.5000
Re 0.0000 0.5000 0.0000
Re 0.5000 0.0000 0.0000
Re 0.5000 0.5000 0.5000

Most intense lines, 10 to 90 degrees two-theta, by angle:
- 2θ 19.64, I 100.0
- 2θ 27.91, I 92.4
- 2θ 39.88, I 70.8
- 2θ 40.01, I 94.6
- 2θ 44.82, I 33.1
- 2θ 44.94, I 38.8
- 2θ 57.66, I 16.0
- 2θ 57.76, I 50.6
- 2θ 65.25, I 21.1
- 2θ 72.48, I 24.1
- 2θ 75.92, I 17.6
- 2θ 86.06, I 28.3



No. 11
This entry pairs a crystal structure of TbHoAl3Si2 with its calculated powder diffractogram. Radiation: Cu Kα, 1.54184 Å. Structure: a GGA-PBE-relaxed structure.
Kinematic intensities with the Lorentz-polarization factor, no thermal factor.

Crystal structure
Cell lengths 10.1777, 4.0494, 6.6155 Å; angles 90.00, 101.08, 90.00 degrees
Positions (direct):
Tb 0.0000 0.0000 0.0000
Tb 0.5000 0.5000 0.0000
Ho 0.2607 0.5000 0.3551
Ho 0.7607 0.0000 0.3551
Al 0.0753 0.0000 0.5435
Al 0.1856 0.5000 0.8101
Al 0.3798 0.0000 0.6767
Al 0.5753 0.5000 0.5435
Al 0.6856 0.0000 0.8101
Al 0.8798 0.5000 0.6767
Si 0.2875 0.0000 0.0378
Si 0.4731 0.0000 0.3187
Si 0.7875 0.5000 0.0378
Si 0.9731 0.5000 0.3187

Most intense lines, 10 to 90 degrees two-theta, by angle:
- 2θ 13.64, I 35.4
- 2θ 20.24, I 41.7
- 2θ 23.71, I 48.1
- 2θ 24.49, I 43.1
- 2θ 28.32, I 73.8
- 2θ 34.89, I 41.7
- 2θ 35.23, I 100.0
- 2θ 35.59, I 53.9
- 2θ 35.97, I 43.9
- 2θ 39.56, I 28.5
- 2θ 44.76, I 30.6
- 2θ 48.30, I 24.7



No. 12
This entry pairs a crystal structure of Ho2AlSn with its calculated powder diffractogram. Radiation: Cu Kα, 1.54184 Å. Structure: a GGA-PBE-relaxed structure.
Kinematic intensities with the Lorentz-polarization factor, no thermal factor.

Crystal structure
Cell lengths 4.1681, 4.4679, 11.1535 Å; angles 90.00, 90.00, 90.00 degrees
Positions (direct):
Ho 0.0000 0.0000 0.0000
Ho 0.0000 0.5000 0.5000
Ho 0.5000 0.0000 0.2784
Ho 0.5000 0.5000 0.7784
Al 0.0000 0.0000 0.7255
Al 0.0000 0.5000 0.2255
Sn 0.5000 0.0000 0.5611
Sn 0.5000 0.5000 0.0611

Most intense lines, 10 to 90 degrees two-theta, by angle:
- 2θ 26.70, I 25.9
- 2θ 30.40, I 100.0
- 2θ 31.30, I 39.9
- 2θ 32.10, I 28.1
- 2θ 38.18, I 47.5
- 2θ 38.86, I 14.8
- 2θ 40.38, I 23.8
- 2θ 43.42, I 19.4
- 2θ 52.49, I 14.2
- 2θ 54.49, I 17.0
- 2θ 60.78, I 14.5
- 2θ 78.55, I 13.2